1.
Structure and calculated XRD peak list of ScGa2 (the PBE geometry in the Materials Project; λ = 1.5418 Å (Cu Kα)).

Structural model:
```
ScGa2
1.0
2.0598 -6.3680 0.0000
2.0598 6.3680 0.0000
0.0000 0.0000 4.1454
Sc Ga
2 4
direct
0.1529 0.8471 0.0000
0.8471 0.1529 0.0000
0.0000 0.0000 0.5000
0.3234 0.6766 0.5000
0.5000 0.5000 0.0000
0.6766 0.3234 0.5000
```

Most intense lines, 2θ from 10° to 90°, in order of rising 2θ:
d 2.407, 37.4 deg, I 100
d 2.123, 42.6 deg, I 16
d 2.073, 43.7 deg, I 16
d 2.060, 44.0 deg, I 16
d 1.461, 63.7 deg, I 10
d 1.274, 74.5 deg, I 10
d 1.252, 76.0 deg, I 11
d 1.246, 76.4 deg, I 11

---

2.
Structure and calculated XRD peak list of ScTi2Ga4 (the PBE geometry in the Materials Project; λ = 1.5418 Å (Cu Kα)).

Structural model:
```
ScTi2Ga4
1.0
-3.3129 3.3129 2.7259
3.3129 -3.3129 2.7259
3.3129 3.3129 -2.7259
Sc Ti Ga
1 2 4
direct
0.0000 0.0000 0.0000
0.2500 0.7500 0.5000
0.7500 0.2500 0.5000
0.2999 0.2999 0.5999
0.2999 0.7001 0.0000
0.7001 0.2999 0.0000
0.7001 0.7001 0.4001
```

Most intense lines, 2θ from 10° to 90°, in order of rising 2θ:
d 2.726, 32.9 deg, I 38
d 2.603, 34.4 deg, I 63
d 2.356, 38.2 deg, I 47
d 2.343, 38.4 deg, I 92
d 2.105, 43.0 deg, I 100
d 2.047, 44.2 deg, I 88
d 1.741, 52.6 deg, I 30
d 1.355, 69.3 deg, I 29

---

3.
Structure and calculated XRD peak list of Sc2ZnGa (the PBE geometry in the Materials Project; λ = 1.5418 Å (Cu Kα)).

Structural model:
```
Sc2ZnGa
1.0
0.0000 3.3582 3.3582
3.3582 0.0000 3.3582
3.3582 3.3582 0.0000
Sc Zn Ga
2 1 1
direct
0.2500 0.2500 0.2500
0.7500 0.7500 0.7500
0.0000 0.0000 0.0000
0.5000 0.5000 0.5000
```

Most intense lines, 2θ from 10° to 90°, in order of rising 2θ:
d 3.358, 26.5 deg, I 7
d 2.375, 37.9 deg, I 100
d 1.939, 46.9 deg, I 2
d 1.679, 54.7 deg, I 16
d 1.502, 61.8 deg, I 3
d 1.371, 68.4 deg, I 31
d 1.187, 81.0 deg, I 10
d 1.119, 87.1 deg, I 1

---

4.
Structure and calculated XRD peak list of Ga3Se (the PBE geometry in the Materials Project; λ = 1.5418 Å (Cu Kα)).

Structural model:
```
Ga3Se
1.0
4.4325 0.0000 0.0000
0.0000 4.4325 0.0000
0.0000 0.0000 4.4325
Ga Se
3 1
direct
0.0000 0.0000 0.5000
0.0000 0.5000 0.0000
0.5000 0.0000 0.0000
0.5000 0.5000 0.5000
```

Most intense lines, 2θ from 10° to 90°, in order of rising 2θ:
d 2.559, 35.1 deg, I 100
d 2.216, 40.7 deg, I 49
d 1.567, 58.9 deg, I 32
d 1.336, 70.5 deg, I 37
d 1.280, 74.1 deg, I 11
d 1.108, 88.2 deg, I 5

---

5.
Structure and calculated XRD peak list of Ta4GaSe8 (the PBE geometry in the Materials Project; λ = 1.5418 Å (Cu Kα)).

Structural model:
```
Ta4GaSe8
1.0
0.0000 5.2529 5.2529
5.2529 0.0000 5.2529
5.2529 5.2529 0.0000
Ta Ga Se
4 1 8
direct
0.1022 0.1022 0.1022
0.1022 0.1022 0.6935
0.1022 0.6935 0.1022
0.6935 0.1022 0.1022
0.5000 0.5000 0.5000
0.3642 0.3642 0.3642
0.3642 0.3642 0.9073
0.3642 0.9073 0.3642
0.4069 0.8644 0.8644
0.8644 0.4069 0.8644
0.8644 0.8644 0.4069
0.8644 0.8644 0.8644
0.9073 0.3642 0.3642
```

Most intense lines, 2θ from 10° to 90°, in order of rising 2θ:
d 6.066, 14.6 deg, I 86
d 3.168, 28.2 deg, I 57
d 2.626, 34.1 deg, I 100
d 2.410, 37.3 deg, I 34
d 2.144, 42.1 deg, I 47
d 2.022, 44.8 deg, I 58
d 1.857, 49.1 deg, I 75
d 1.238, 77.0 deg, I 30

---

6.
Structure and calculated XRD peak list of Ta4GaTe4Se4 (the PBE geometry in the Materials Project; λ = 1.5418 Å (Cu Kα)).

Structural model:
```
Ta4GaTe4Se4
1.0
0.0000 5.5099 5.5099
5.5099 0.0000 5.5099
5.5099 5.5099 0.0000
Ta Ga Te Se
4 1 4 4
direct
0.0974 0.0974 0.0974
0.0974 0.0974 0.7077
0.0974 0.7077 0.0974
0.7077 0.0974 0.0974
0.5000 0.5000 0.5000
0.3630 0.3630 0.3630
0.3630 0.3630 0.9110
0.3630 0.9110 0.3630
0.9110 0.3630 0.3630
0.3915 0.8695 0.8695
0.8695 0.3915 0.8695
0.8695 0.8695 0.3915
0.8695 0.8695 0.8695
```

Most intense lines, 2θ from 10° to 90°, in order of rising 2θ:
d 6.362, 13.9 deg, I 81
d 3.323, 26.8 deg, I 38
d 2.755, 32.5 deg, I 100
d 2.528, 35.5 deg, I 34
d 2.249, 40.1 deg, I 49
d 2.121, 42.6 deg, I 54
d 1.948, 46.6 deg, I 72
d 1.299, 72.8 deg, I 30